Entry 1:
Structure and calculated XRD peak list of Mg2NpMoO8 (the PBE+U geometry in Alexandria; λ = 1.5418 Å (Cu Kα)).

Cell and atoms:
Cell: 4.494 4.494 9.410 Å, 90.00 90.00 120.00°
Positions (direct):
Mg  0.333  0.667  0.247
Mg  0.667  0.333  0.753
Np  0.000  0.000  0.000
Mo  0.000  0.000  0.500
O  0.038  0.697  0.863
O  0.303  0.341  0.863
O  0.333  0.667  0.453
O  0.341  0.038  0.137
O  0.659  0.962  0.863
O  0.667  0.333  0.547
O  0.697  0.659  0.137
O  0.962  0.303  0.137

The 8 most intense peaks (2θ from 10° to 90°), in order of rising 2θ:
Position (°2θ), I (rel.)
18.9, 36
22.8, 69
24.8, 33
29.8, 100
40.1, 26
44.7, 29
45.0, 25
56.6, 26



Entry 2:
Structure and calculated XRD peak list of Mg2NpMoO6 (the PBE+U geometry in Alexandria; λ = 1.5418 Å (Cu Kα)).

Cell and atoms:
Cell: 5.784 5.784 5.784 Å, 55.77 55.77 55.77°
Positions (direct):
Mg  0.000  0.000  0.000
Mg  0.499  0.499  0.499
Np  0.706  0.706  0.706
Mo  0.205  0.205  0.205
O  0.114  0.408  0.804
O  0.306  0.910  0.612
O  0.408  0.804  0.114
O  0.612  0.306  0.910
O  0.804  0.114  0.408
O  0.910  0.612  0.306

The 8 most intense peaks (2θ from 10° to 90°), in order of rising 2θ:
Position (°2θ), I (rel.)
19.9, 26
22.5, 100
31.1, 64
33.1, 50
40.4, 21
46.0, 25
50.4, 39
57.9, 24



Entry 3:
Structure and calculated XRD peak list of Mg4Mo2O9 (the PBE+U geometry in Alexandria; λ = 1.5418 Å (Cu Kα)).

Cell and atoms:
Cell: 5.208 5.208 14.190 Å, 90.67 90.67 59.89°
Positions (direct):
Mg  0.156  0.167  0.482
Mg  0.164  0.168  0.689
Mg  0.167  0.156  0.982
Mg  0.168  0.164  0.189
Mg  0.832  0.836  0.811
Mg  0.833  0.844  0.018
Mg  0.836  0.832  0.311
Mg  0.844  0.833  0.518
Mo  0.495  0.502  0.355
Mo  0.498  0.505  0.145
Mo  0.502  0.495  0.855
Mo  0.505  0.498  0.645
O  0.144  0.811  0.918
O  0.152  0.516  0.414
O  0.189  0.856  0.582
O  0.195  0.471  0.086
O  0.206  0.794  0.250
O  0.210  0.502  0.751
O  0.471  0.195  0.586
O  0.484  0.848  0.086
O  0.498  0.790  0.749
O  0.502  0.210  0.251
O  0.516  0.152  0.914
O  0.529  0.805  0.414
O  0.790  0.498  0.249
O  0.794  0.206  0.750
O  0.805  0.529  0.914
O  0.811  0.144  0.418
O  0.848  0.484  0.586
O  0.856  0.189  0.082

The 8 most intense peaks (2θ from 10° to 90°), in order of rising 2θ:
Position (°2θ), I (rel.)
19.7, 100
23.3, 17
31.9, 25
32.0, 16
32.2, 56
34.5, 53
47.7, 22
61.8, 19



- Number 1 is which compound?
  Mg2NpMoO8